Entry 1:
For Dy8Tm3In, a DFT-relaxed cell (GGA-PBE, Alexandria) gives the calculated powder XRD pattern in this record (Cu Kα (weighted mean of Kα1 and Kα2)).
No peak broadening, texture or thermal motion is included.

Crystal structure
```
data_Dy8Tm3In
_cell_length_a 8.6869
_cell_length_b 3.5550
_cell_length_c 12.1037
_cell_angle_alpha 90.00
_cell_angle_beta 103.59
_cell_angle_gamma 90.00
_space_group_name_H-M_alt 'P 1'
_space_group_IT_number 1
loop_
_space_group_symop_operation_xyz
'x,y,z'
loop_
_atom_site_label
_atom_site_type_symbol
_atom_site_fract_x
_atom_site_fract_y
_atom_site_fract_z
Dy1 Dy 0.0000 0.0000 0.0000
Dy2 Dy 0.0016 0.5000 0.7465
Dy3 Dy 0.3281 0.0000 0.7189
Dy4 Dy 0.3347 0.5000 0.4702
Dy5 Dy 0.6497 0.5000 0.3557
Dy6 Dy 0.6716 0.0000 0.6081
Dy7 Dy 0.6782 0.0000 0.1126
Dy8 Dy 0.9969 0.0000 0.4814
Tm1 Tm 0.3115 0.0000 0.2217
Tm2 Tm 0.3353 0.5000 0.9738
Tm3 Tm 0.6642 0.5000 0.8573
In1 In 0.9986 0.5000 0.2477
```

Top 6 peaks for 10° ≤ 2θ ≤ 90°, by intensity:
| 2theta | I_rel |
| --- | --- |
| 32.47 | 100 |
| 34.17 | 91 |
| 31.79 | 72 |
| 32.77 | 43 |
| 34.57 | 39 |
| 52.13 | 35 |

---

Entry 2:
For CaSm2Tl, a DFT-relaxed cell (GGA-PBE, Alexandria) gives the calculated powder XRD pattern in this record (Cu Kα (weighted mean of Kα1 and Kα2)).
No peak broadening, texture or thermal motion is included.

Crystal structure
```
data_CaSm2Tl
_cell_length_a 5.6249
_cell_length_b 5.6249
_cell_length_c 5.6249
_cell_angle_alpha 59.98
_cell_angle_beta 59.98
_cell_angle_gamma 59.98
_space_group_name_H-M_alt 'P 1'
_space_group_IT_number 1
loop_
_space_group_symop_operation_xyz
'x,y,z'
loop_
_atom_site_label
_atom_site_type_symbol
_atom_site_fract_x
_atom_site_fract_y
_atom_site_fract_z
Ca1 Ca 0.0000 0.0000 0.0000
Sm1 Sm 0.2500 0.2500 0.2500
Sm2 Sm 0.4995 0.4995 0.4995
Tl1 Tl 0.7498 0.7498 0.7498
```

Top 6 peaks for 10° ≤ 2θ ≤ 90°, by intensity:
| 2theta | I_rel |
| --- | --- |
| 31.82 | 100 |
| 56.70 | 39 |
| 45.62 | 18 |
| 75.61 | 17 |
| 66.50 | 12 |
| 19.33 | 10 |